This entry pairs a crystal structure of AcPr3Cd with its theoretical powder XRD pattern. Radiation: Cu Kα, 1.54184 Å. Structure: a DFT-relaxed cell (GGA-PBE, Alexandria).
Lines closer than 0.1° are merged.

Top 12 peaks for 2θ from 10° to 80°, most intense first:
- 2θ 30.61, I = 100
- 2θ 31.60, I = 90
- 2θ 29.97, I = 53
- 2θ 29.34, I = 40
- 2θ 54.88, I = 21
- 2θ 56.42, I = 18
- 2θ 46.62, I = 18
- 2θ 52.98, I = 17
- 2θ 40.90, I = 15
- 2θ 56.05, I = 13
- 2θ 43.94, I = 11
- 2θ 27.17, I = 11

a b c (Å): 13.7864 3.8964 13.2162
angles (deg): 90.00 93.31 90.00
Space group C2/m (No. 12)
Asymmetric unit:
Ac 0.2291 0.0000 0.2485
Pr 0.0369 0.0000 0.6893
Pr 0.1343 0.5000 0.4756
Pr 0.1434 0.0000 0.9532
Cd 0.0452 0.5000 0.1267


This entry pairs a crystal structure of AcPr3Cd8 with its theoretical powder XRD pattern. Radiation: Cu Kα, 1.54184 Å. Structure: a DFT-relaxed cell (GGA-PBE, Alexandria).
Lines closer than 0.1° are merged.

Top 12 peaks for 2θ from 10° to 80°, most intense first:
- 2θ 34.53, I = 100
- 2θ 34.85, I = 72
- 2θ 32.55, I = 67
- 2θ 28.94, I = 38
- 2θ 53.61, I = 30
- 2θ 59.14, I = 30
- 2θ 59.96, I = 28
- 2θ 54.96, I = 26
- 2θ 37.36, I = 15
- 2θ 69.91, I = 14
- 2θ 33.54, I = 12
- 2θ 72.82, I = 11

a b c (Å): 6.1708 6.1708 9.6275
angles (deg): 90.00 90.00 120.00
Space group P3m1 (No. 156)
Asymmetric unit:
Ac 0.0000 0.0000 0.0000
Pr 0.0000 0.0000 0.3881
Pr 0.6667 0.3333 0.4924
Pr 0.6667 0.3333 0.8693
Cd 0.1649 0.3298 0.6853
Cd 0.3333 0.6667 0.4356
Cd 0.3333 0.6667 0.9373
Cd 0.5042 0.0084 0.1899